This entry pairs a crystal structure of Rb3HoV2O8 with its theoretical X-ray diffraction stick pattern. Radiation: Cu Ka. Structure: a structure optimized by DFT (GGA+U).

Atomic structure:
```
14
Lattice="6.0738 0.0000 0.0000 -3.0369 5.2601 0.0000 0.0000 0.0000 7.8721" Properties=species:S:1:pos:R:3 pbc="T T T"
Rb 0.0000 0.0000 0.0000
Rb 0.0000 3.5067 5.4212
Rb 3.0369 1.7534 2.4508
Ho 0.0000 0.0000 3.9360
V 0.0000 3.5067 1.9825
V 3.0369 1.7534 5.8895
O 0.0000 1.8410 2.5972
O -1.4426 4.3396 2.5972
O 0.0000 3.5067 0.3032
O 1.5943 0.9205 5.2749
O 1.4426 4.3396 2.5972
O 3.0369 1.7534 7.5689
O 4.4795 0.9205 5.2749
O 3.0369 3.4192 5.2749
```

The 6 most intense peaks (10° ≤ 2θ ≤ 90°), by intensity:
2theta	d [Å]	I (rel.)
29.41	3.037	1000
28.32	3.151	989
41.28	2.187	493
51.50	1.775	362
11.24	7.872	284
52.17	1.753	192

=====

This entry pairs a crystal structure of HoTlW2O8 with its theoretical X-ray diffraction stick pattern. Radiation: Cu Ka. Structure: a structure optimized by DFT (GGA+U).

Atomic structure:
```
24
Lattice="5.4436 -5.3107 0.0000 5.4436 5.3107 0.0000 -4.8236 0.0000 5.7229" Properties=species:S:1:pos:R:3 pbc="T T T"
Ho 1.8259 2.9305 4.2922
Ho 4.2377 -2.9305 1.4307
Tl 4.2377 3.1529 1.4307
Tl 1.8259 -3.1529 4.2922
W -0.4473 0.0564 4.4623
W 1.9645 -0.0564 1.6008
W 4.0992 0.0564 4.1221
W 6.5110 -0.0564 1.2607
O 0.4877 0.9040 1.0913
O -0.6095 1.6664 3.5534
O -1.9241 -0.9040 3.9528
O 3.1146 0.7379 0.3290
O 2.6418 1.1663 3.0592
O 1.8023 -1.6664 0.6920
O 0.7028 -0.7379 3.1905
O 1.0100 1.1663 5.5252
O 5.0536 -1.1663 0.1977
O 5.3609 0.7379 2.5324
O 4.2614 1.6664 5.0310
O 3.4218 -1.1663 2.6638
O 2.9491 -0.7379 5.3939
O 7.9878 0.9040 1.7702
O 6.6732 -1.6664 2.1695
O 5.5760 -0.9040 4.6316
```

The 6 most intense peaks (10° ≤ 2θ ≤ 90°), by intensity:
2theta	d [Å]	I (rel.)
27.22	3.276	1000
29.22	3.056	1000
31.26	2.861	435
27.37	3.258	328
28.01	3.186	226
33.11	2.706	226

=====

This entry pairs a crystal structure of Ho2V2O7 with its theoretical X-ray diffraction stick pattern. Radiation: Cu Ka. Structure: a structure optimized by DFT (GGA+U).

Atomic structure:
```
22
Lattice="0.0000 5.0517 5.0517 5.0517 0.0000 5.0517 5.0517 5.0517 0.0000" Properties=species:S:1:pos:R:3 pbc="T T T"
Ho 0.0000 0.0000 0.0000
Ho 2.5258 2.5258 0.0000
Ho 2.5258 0.0000 2.5258
Ho 0.0000 2.5258 2.5258
V 5.0517 2.5258 2.5258
V 2.5258 5.0517 2.5258
V 2.5258 2.5258 5.0517
V 5.0517 5.0517 5.0517
O 1.2629 1.2629 1.2629
O 3.7888 3.7888 1.6960
O 3.7888 1.6960 3.7888
O 5.8815 3.7888 3.7888
O 6.3146 6.3146 4.2218
O 6.3146 4.2218 6.3146
O 8.4073 6.3146 6.3146
O 1.6960 3.7888 3.7888
O 3.7888 5.8815 3.7888
O 3.7888 3.7888 5.8815
O 4.2218 6.3146 6.3146
O 6.3146 8.4073 6.3146
O 6.3146 6.3146 8.4073
O 8.8404 8.8404 8.8404
```

The 6 most intense peaks (10° ≤ 2θ ≤ 90°), by intensity:
2theta	d [Å]	I (rel.)
30.65	2.917	1000
51.14	1.786	478
60.81	1.523	412
15.19	5.833	300
35.54	2.526	296
38.85	2.318	199

=====

This entry pairs a crystal structure of HoVO3 with its theoretical X-ray diffraction stick pattern. Radiation: Cu Ka. Structure: a structure optimized by DFT (GGA+U).

Atomic structure:
```
20
Lattice="5.7311 0.0000 0.0000 0.0000 7.6264 0.0000 0.0000 0.0000 5.3106" Properties=species:S:1:pos:R:3 pbc="T T T"
Ho 0.4067 1.9066 0.1096
Ho 2.4589 5.7198 2.7650
Ho 3.2722 1.9066 2.5457
Ho 5.3245 5.7198 5.2010
V 0.0000 0.0000 2.6553
V 0.0000 3.8132 2.6553
V 2.8656 0.0000 0.0000
V 2.8656 3.8132 0.0000
O 0.2786 5.7198 2.0111
O 1.0759 4.2744 4.2840
O 1.0759 7.1653 4.2840
O 1.7897 0.4612 1.6286
O 1.7897 3.3520 1.6286
O 2.5870 1.9066 4.6664
O 3.1441 5.7198 0.6442
O 3.9414 4.2744 3.6820
O 3.9414 7.1653 3.6820
O 4.6553 0.4612 1.0267
O 4.6553 3.3520 1.0267
O 5.4526 1.9066 3.2995
```

The 6 most intense peaks (10° ≤ 2θ ≤ 90°), by intensity:
2theta	d [Å]	I (rel.)
32.87	2.725	1000
22.83	3.895	281
59.82	1.546	280
25.68	3.469	274
52.29	1.750	246
33.76	2.655	238

=====

This entry pairs a crystal structure of HoVO4 with its theoretical X-ray diffraction stick pattern. Radiation: Cu Ka. Structure: a structure optimized by DFT (GGA+U).

Atomic structure:
```
12
Lattice="-3.5870 3.5870 3.1698 3.5870 -3.5870 3.1698 3.5870 3.5870 -3.1698" Properties=species:S:1:pos:R:3 pbc="T T T"
Ho 3.5870 1.7935 0.7925
Ho 0.0000 1.7935 2.3774
V 3.5870 -1.7935 2.3774
V 0.0000 5.3806 0.7925
O 3.5870 -0.4644 1.2565
O 3.5870 3.1227 -1.2565
O 1.3291 1.7935 0.3284
O 2.2579 -1.7935 3.4982
O 1.3291 5.3806 -0.3284
O 2.2579 1.7935 2.8414
O 0.0000 0.4644 4.4263
O 0.0000 4.0514 1.9133
```

The 6 most intense peaks (10° ≤ 2θ ≤ 90°), by intensity:
2theta	d [Å]	I (rel.)
24.82	3.587	1000
33.33	2.688	716
49.40	1.845	596
18.68	4.751	441
35.39	2.536	219
62.23	1.492	175

=====

This entry pairs a crystal structure of HoVO4 with its theoretical X-ray diffraction stick pattern. Radiation: Cu Ka. Structure: a structure optimized by DFT (GGA+U).

Atomic structure:
```
12
Lattice="-2.5407 2.5407 5.6038 2.5407 -2.5407 5.6038 2.5407 2.5407 -5.6038" Properties=species:S:1:pos:R:3 pbc="T T T"
Ho 0.0000 1.2703 1.4009
Ho 2.5407 1.2703 4.2028
V 2.5407 1.2703 -1.4009
V 0.0000 1.2703 7.0047
O 3.8394 0.5077 -0.4945
O 3.3033 0.0284 2.3074
O 0.7626 0.0284 3.2964
O 1.2420 2.0330 -0.4945
O 1.2987 0.5077 6.0982
O 1.7781 2.5123 2.3074
O -0.7626 2.5123 3.2964
O -1.2987 2.0330 6.0982
```

The 6 most intense peaks (10° ≤ 2θ ≤ 90°), by intensity:
2theta	d [Å]	I (rel.)
29.53	3.025	1000
19.18	4.628	337
59.89	1.544	300
48.36	1.882	296
35.33	2.541	197
55.44	1.657	169

=====

This entry pairs a crystal structure of Ho2V2O7 with its theoretical X-ray diffraction stick pattern. Radiation: Cu Ka. Structure: a structure optimized by DFT (GGA+U).

Atomic structure:
```
11
Lattice="3.3311 -4.7498 0.0000 3.3311 4.7498 0.0000 -0.9625 0.0000 5.1539" Properties=species:S:1:pos:R:3 pbc="T T T"
Ho 3.3311 2.9683 0.0000
Ho 3.3311 -2.9683 0.0000
V 1.1185 0.0000 3.0961
V 4.5813 0.0000 2.0578
O 0.2492 0.0000 1.4297
O 1.0472 1.5437 4.0916
O 1.0472 -1.5437 4.0916
O 2.8499 0.0000 2.5769
O 4.6525 1.5437 1.0623
O 4.6525 -1.5437 1.0623
O 5.4505 0.0000 3.7241
```

The 6 most intense peaks (10° ≤ 2θ ≤ 90°), by intensity:
2theta	d [Å]	I (rel.)
25.50	3.493	1000
17.21	5.154	583
29.51	3.027	505
34.76	2.581	412
16.44	5.392	398
25.65	3.473	391

=====

This entry pairs a crystal structure of HoW2O6 with its theoretical X-ray diffraction stick pattern. Radiation: Cu Ka. Structure: a structure optimized by DFT (GGA+U).

Atomic structure:
```
18
Lattice="5.4101 0.0000 0.0000 0.0000 7.8692 0.0000 -0.0018 0.0000 5.6533" Properties=species:S:1:pos:R:3 pbc="T T T"
Ho 0.0000 0.0000 0.0000
Ho 2.6620 3.9346 3.6240
W 0.0560 1.9719 3.1801
W 0.0560 5.8973 3.1801
W 2.7756 1.9710 0.4782
W 2.7756 5.8982 0.4782
O 0.4948 0.0000 3.4604
O 1.1701 2.2970 4.7575
O 1.1701 5.5722 4.7575
O 1.7919 2.4308 2.1843
O 1.7919 5.4384 2.1843
O 2.1554 0.0000 0.5393
O 3.1694 3.9346 0.1742
O 3.9418 1.6249 4.4646
O 3.9418 6.2443 4.4646
O 4.5842 1.5181 1.5295
O 4.5842 6.3511 1.5295
O 4.8284 3.9346 3.0919
```

The 6 most intense peaks (10° ≤ 2θ ≤ 90°), by intensity:
2theta	d [Å]	I (rel.)
32.28	2.773	1000
22.75	3.909	299
33.12	2.705	245
58.63	1.575	221
31.65	2.827	221
19.92	4.458	210

=====

This entry pairs a crystal structure of Ho2W3O12 with its theoretical X-ray diffraction stick pattern. Radiation: Cu Ka. Structure: a structure optimized by DFT (GGA+U).

Atomic structure:
```
34
Lattice="3.8653 -5.7474 0.0000 3.8653 5.7474 0.0000 -3.8338 0.0000 10.7422" Properties=species:S:1:pos:R:3 pbc="T T T"
Ho 0.9204 1.4075 1.0003
Ho -0.9965 -1.4075 6.3714
Ho 4.8932 1.4075 4.3708
Ho 2.9763 -1.4075 9.7419
W 2.9068 4.2309 2.6856
W 1.0047 1.2295 4.8428
W -0.9122 -1.2295 10.2139
W 4.8089 1.2295 0.5283
W 2.8920 -1.2295 5.8994
W 0.9899 -4.2309 8.0567
O 2.4470 3.3305 1.1374
O -0.7582 0.5727 4.9642
O 0.9704 2.0439 3.2041
O -1.4539 0.4629 7.7281
O -2.6751 -0.5727 10.3353
O 0.4630 -0.4629 2.3570
O 1.3372 2.5143 6.0347
O 0.6426 2.5143 10.0787
O 3.3666 3.3305 4.2337
O 3.0683 0.4364 0.8160
O -0.9465 -2.0439 8.5752
O 1.1514 -0.4364 6.1871
O 2.7453 0.4364 4.5551
O 4.8432 2.0439 2.1670
O 0.8284 -0.4364 9.9262
O 0.5301 -3.3305 6.5085
O 3.2541 -2.5143 0.6635
O 2.5595 -2.5143 4.7076
O 3.4337 0.4629 8.3852
O 6.5718 0.5727 0.4069
O 5.3506 -0.4629 3.0141
O 2.9263 -2.0439 7.5381
O 4.6549 -0.5727 5.7780
O 1.4497 -3.3305 9.6048
```

The 6 most intense peaks (10° ≤ 2θ ≤ 90°), by intensity:
2theta	d [Å]	I (rel.)
27.82	3.207	1000
29.39	3.039	714
24.94	3.570	285
31.12	2.874	280
46.90	1.937	217
46.82	1.940	216